# 1
Calculated X-ray powder pattern of CeZrTi for Cu Kα (weighted mean of Kα1 and Kα2), from a crystal structure in Alexandria, relaxed with GGA-PBE.
Intensities are scaled so that the largest is 100.

Largest 8 diffraction maxima, by intensity, 10° ≤ 2θ ≤ 80°:
- d 2.567, 34.95°, I = 100, hkl 1 0 3
- d 2.158, 41.86°, I = 35, hkl 1 1 0
- d 2.805, 31.90°, I = 31, hkl 1 0 2
- d 1.312, 71.99°, I = 23, hkl 2 1 3
- d 2.850, 31.39°, I = 18, hkl 0 0 5
- d 1.720, 53.25°, I = 16, hkl 1 1 5
- d 1.538, 60.15°, I = 15, hkl 1 0 8
- d 1.597, 57.72°, I = 14, hkl 1 1 6

Structural model:
Cell lengths 3.0518, 3.0518, 14.2491 Å; angles 90.00, 90.00, 90.00 degrees
Space group P4/nmm (No. 129, origin choice 2)
Unique sites:
Ce: 0.2500 0.2500 0.0908 (multiplicity 2)
Zr: 0.2500 0.2500 0.7176 (multiplicity 2)
Ti: 0.2500 0.2500 0.4328 (multiplicity 2)

# 2
Calculated X-ray powder pattern of Ce4Tl3 for Cu Kα (weighted mean of Kα1 and Kα2), from a crystal structure in Alexandria, relaxed with GGA-PBE.
Intensities are scaled so that the largest is 100.

Largest 8 diffraction maxima, by intensity, 10° ≤ 2θ ≤ 80°:
- d 2.447, 36.73°, I = 100, hkl 2 0 1
- d 2.625, 34.16°, I = 92, hkl 1 0 2
- d 2.751, 32.55°, I = 81, hkl 1 1 1
- d 2.678, 33.46°, I = 74, hkl 2 0 0
- d 1.680, 54.62°, I = 49, hkl 2 1 2
- d 1.606, 57.36°, I = 46, hkl 2 0 3
- d 1.546, 59.81°, I = 35, hkl 2 2 0
- d 3.092, 28.87°, I = 26, hkl 1 1 0

Structural model:
Cell lengths 6.1848, 6.1848, 6.0234 Å; angles 90.00, 90.00, 120.00 degrees
Space group P6/mmm (No. 191)
Unique sites:
Ce: 0.0000 0.0000 0.2213 (multiplicity 2)
Ce: 0.3333 0.6667 0.0000 (multiplicity 2)
Tl: 0.0000 0.5000 0.5000 (multiplicity 3)

# 3
Calculated X-ray powder pattern of CeTl6 for Cu Kα (weighted mean of Kα1 and Kα2), from a crystal structure in Alexandria, relaxed with GGA-PBE.
Intensities are scaled so that the largest is 100.

Largest 8 diffraction maxima, by intensity, 10° ≤ 2θ ≤ 80°:
- d 3.407, 26.15°, I = 100, hkl 2 1 1
- d 2.231, 40.44°, I = 64, hkl 3 2 1
- d 2.409, 37.32°, I = 51, hkl 2 2 2
- d 5.901, 15.01°, I = 41, hkl 1 1 0
- d 4.173, 21.29°, I = 41, hkl 2 0 0
- d 2.086, 43.37°, I = 40, hkl 4 0 0
- d 1.475, 63.00°, I = 27, hkl 4 4 0
- d 1.258, 75.57°, I = 20, hkl 6 2 2

Structural model:
Cell lengths 8.3458, 8.3458, 8.3458 Å; angles 90.00, 90.00, 90.00 degrees
Space group Im-3m (No. 229)
Unique sites:
Ce: 0.0000 0.0000 0.0000 (multiplicity 2)
Tl: 0.0000 0.2500 0.5000 (multiplicity 12)

# 4
Calculated X-ray powder pattern of CeTl2 for Cu Kα (weighted mean of Kα1 and Kα2), from a crystal structure in Alexandria, relaxed with GGA-PBE.
Intensities are scaled so that the largest is 100.

Largest 8 diffraction maxima, by intensity, 10° ≤ 2θ ≤ 80°:
- d 2.830, 31.62°, I = 100, hkl 3 1 0
- d 2.787, 32.11°, I = 91, hkl 1 1 -2
- d 2.485, 36.15°, I = 35, hkl 0 2 0
- d 2.525, 35.55°, I = 33, hkl 2 0 2
- d 2.304, 39.10°, I = 28, hkl 4 0 -2
- d 1.771, 51.61°, I = 23, hkl 2 2 2
- d 1.689, 54.30°, I = 22, hkl 4 2 -2
- d 1.493, 62.20°, I = 15, hkl 3 3 0

Structural model:
Cell lengths 10.6096, 4.9691, 6.7623 Å; angles 90.00, 103.26, 90.00 degrees
Space group C2/m (No. 12)
Unique sites:
Ce: 0.1581 0.0000 0.3008 (multiplicity 4)
Tl: 0.0000 0.5000 0.0000 (multiplicity 2)
Tl: 0.0000 0.5000 0.5000 (multiplicity 2)
Tl: 0.1647 0.0000 0.8101 (multiplicity 4)

# 5
Calculated X-ray powder pattern of CeTm8Tl6 for Cu Kα (weighted mean of Kα1 and Kα2), from a crystal structure in Alexandria, relaxed with GGA-PBE.
Intensities are scaled so that the largest is 100.

Largest 8 diffraction maxima, by intensity, 10° ≤ 2θ ≤ 80°:
- d 2.605, 34.42°, I = 100, hkl 3 0 0
- d 2.629, 34.11°, I = 97, hkl 1 1 6
- d 1.509, 61.46°, I = 36, hkl 4 1 6
- d 1.851, 49.24°, I = 35, hkl 4 -2 6
- d 3.701, 24.04°, I = 22, hkl 1 1 3
- d 4.513, 19.67°, I = 22, hkl 1 1 0
- d 1.522, 60.85°, I = 20, hkl 2 -1 12
- d 1.504, 61.66°, I = 19, hkl 3 3 0

Structural model:
Cell lengths 9.0257, 9.0257, 19.4058 Å; angles 90.00, 90.00, 120.00 degrees
Space group R-3 (No. 148, hexagonal axes)
Unique sites:
Ce: 0.0000 0.0000 0.0000 (multiplicity 3)
Tm: 0.0000 0.0000 0.3325 (multiplicity 6)
Tm: 0.0018 0.3308 0.1097 (multiplicity 18)
Tl: 0.0002 0.3407 0.9346 (multiplicity 18)

# 6
Calculated X-ray powder pattern of Ce2TmTl2 for Cu Kα (weighted mean of Kα1 and Kα2), from a crystal structure in Alexandria, relaxed with GGA-PBE.
Intensities are scaled so that the largest is 100.

Largest 8 diffraction maxima, by intensity, 10° ≤ 2θ ≤ 80°:
- d 2.775, 32.25°, I = 100, hkl 1 1 -2
- d 2.646, 33.88°, I = 85, hkl 3 1 -1
- d 2.817, 31.76°, I = 52, hkl 2 0 1
- d 2.519, 35.64°, I = 39, hkl 0 2 0
- d 1.878, 48.48°, I = 33, hkl 2 2 1
- d 1.647, 55.83°, I = 22, hkl 1 1 3
- d 1.566, 58.99°, I = 17, hkl 5 1 0
- d 1.499, 61.89°, I = 17, hkl 1 3 -2

Structural model:
Cell lengths 9.3261, 5.0384, 6.7023 Å; angles 90.00, 117.98, 90.00 degrees
Space group C2/m (No. 12)
Unique sites:
Ce: 0.2170 0.0000 0.0958 (multiplicity 4)
Tm: 0.0000 0.0000 0.5000 (multiplicity 2)
Tl: 0.1032 0.5000 0.2903 (multiplicity 4)

What did the fifth record say?
Calculated X-ray powder pattern of CeTm8Tl6 for Cu Kα (weighted mean of Kα1 and Kα2), from a crystal structure in Alexandria, relaxed with GGA-PBE.
Intensities are scaled so that the largest is 100.

Largest 8 diffraction maxima, by intensity, 10° ≤ 2θ ≤ 80°:
- d 2.605, 34.42°, I = 100, hkl 3 0 0
- d 2.629, 34.11°, I = 97, hkl 1 1 6
- d 1.509, 61.46°, I = 36, hkl 4 1 6
- d 1.851, 49.24°, I = 35, hkl 4 -2 6
- d 3.701, 24.04°, I = 22, hkl 1 1 3
- d 4.513, 19.67°, I = 22, hkl 1 1 0
- d 1.522, 60.85°, I = 20, hkl 2 -1 12
- d 1.504, 61.66°, I = 19, hkl 3 3 0

Structural model:
Cell lengths 9.0257, 9.0257, 19.4058 Å; angles 90.00, 90.00, 120.00 degrees
Space group R-3 (No. 148, hexagonal axes)
Unique sites:
Ce: 0.0000 0.0000 0.0000 (multiplicity 3)
Tm: 0.0000 0.0000 0.3325 (multiplicity 6)
Tm: 0.0018 0.3308 0.1097 (multiplicity 18)
Tl: 0.0002 0.3407 0.9346 (multiplicity 18)

Copy entry 6 word for word.
Calculated X-ray powder pattern of Ce2TmTl2 for Cu Kα (weighted mean of Kα1 and Kα2), from a crystal structure in Alexandria, relaxed with GGA-PBE.
Intensities are scaled so that the largest is 100.

Largest 8 diffraction maxima, by intensity, 10° ≤ 2θ ≤ 80°:
- d 2.775, 32.25°, I = 100, hkl 1 1 -2
- d 2.646, 33.88°, I = 85, hkl 3 1 -1
- d 2.817, 31.76°, I = 52, hkl 2 0 1
- d 2.519, 35.64°, I = 39, hkl 0 2 0
- d 1.878, 48.48°, I = 33, hkl 2 2 1
- d 1.647, 55.83°, I = 22, hkl 1 1 3
- d 1.566, 58.99°, I = 17, hkl 5 1 0
- d 1.499, 61.89°, I = 17, hkl 1 3 -2

Structural model:
Cell lengths 9.3261, 5.0384, 6.7023 Å; angles 90.00, 117.98, 90.00 degrees
Space group C2/m (No. 12)
Unique sites:
Ce: 0.2170 0.0000 0.0958 (multiplicity 4)
Tm: 0.0000 0.0000 0.5000 (multiplicity 2)
Tl: 0.1032 0.5000 0.2903 (multiplicity 4)